No. 1
Simulated X-ray powder pattern
Compound: TbPaMnS4
Radiation: a wavelength of 1.5418 Å
Structure: a crystal structure in Alexandria, relaxed with GGA-PBE

The 8 most intense peaks (15° ≤ 2θ ≤ 90°), in order of falling intensity:
2θ (°)  I/Imax
20.48  100
29.13  70
35.35  48
35.69  45
41.65  37
46.78  29
28.80  27
28.66  26

Crystal structure
abc: 6.4048 6.1262 7.5443
angles: 90.00 106.48 90.00
Element x y z (fractional)
Tb 0.2386 0.2500 0.0586
Tb 0.7614 0.7500 0.9414
Pa 0.2350 0.2500 0.5565
Pa 0.7650 0.7500 0.4435
Mn 0.2461 0.7500 0.3171
Mn 0.7539 0.2500 0.6829
S 0.0173 0.5108 0.7509
S 0.0173 0.9892 0.7509
S 0.4435 0.7500 0.1126
S 0.4440 0.7500 0.6162
S 0.5560 0.2500 0.3838
S 0.5565 0.2500 0.8874
S 0.9827 0.0108 0.2491
S 0.9827 0.4892 0.2491


No. 2
Simulated X-ray powder pattern
Compound: PaMnTl2S6
Radiation: a wavelength of 1.5418 Å
Structure: a crystal structure in Alexandria, relaxed with GGA-PBE

The 8 most intense peaks (15° ≤ 2θ ≤ 90°), in order of falling intensity:
2θ (°)  I/Imax
26.03  100
25.77  96
36.95  71
45.60  48
45.44  29
53.54  24
46.08  22
60.34  21

Crystal structure
abc: 6.8469 6.8469 6.8469
angles: 60.65 60.65 60.65
Element x y z (fractional)
Pa 0.0000 0.0000 0.0000
Mn 0.5000 0.5000 0.5000
Tl 0.2456 0.2456 0.2456
Tl 0.7544 0.7544 0.7544
S 0.1992 0.7299 0.3312
S 0.2701 0.6688 0.8008
S 0.3312 0.1992 0.7299
S 0.6688 0.8008 0.2701
S 0.7299 0.3312 0.1992
S 0.8008 0.2701 0.6688


No. 3
Simulated X-ray powder pattern
Compound: PaMnVS6
Radiation: a wavelength of 1.5418 Å
Structure: a crystal structure in Alexandria, relaxed with GGA-PBE

The 8 most intense peaks (15° ≤ 2θ ≤ 90°), in order of falling intensity:
2θ (°)  I/Imax
22.69  100
42.85  43
16.82  30
48.26  27
37.42  27
33.18  23
29.36  18
52.07  18

Crystal structure
abc: 6.0848 6.0848 5.8594
angles: 90.00 90.00 120.00
Element x y z (fractional)
Pa 0.0000 0.0000 0.0000
Mn 0.6667 0.3333 0.5000
V 0.3333 0.6667 0.5000
S 0.9999 0.3498 0.7260
S 0.9999 0.6501 0.2740
S 0.3499 0.0001 0.7260
S 0.3499 0.3498 0.2740
S 0.6502 0.0001 0.2740
S 0.6502 0.6501 0.7260


No. 4
Simulated X-ray powder pattern
Compound: YPaMn2S8
Radiation: a wavelength of 1.5418 Å
Structure: a crystal structure in Alexandria, relaxed with GGA-PBE

The 8 most intense peaks (15° ≤ 2θ ≤ 90°), in order of falling intensity:
2θ (°)  I/Imax
24.24  100
15.65  47
47.81  41
39.88  36
32.56  27
46.61  21
40.56  20
38.13  19

Crystal structure
abc: 7.8788 7.8788 7.8788
angles: 132.94 132.94 68.75
Element x y z (fractional)
Y 0.0000 0.0000 0.0000
Pa 0.2500 0.7500 0.5000
Mn 0.5000 0.5000 0.0000
Mn 0.7500 0.2500 0.5000
S 0.2762 0.7025 0.1314
S 0.2975 0.4288 0.5736
S 0.3977 0.0141 0.0588
S 0.5712 0.1448 0.8686
S 0.6611 0.6023 0.6164
S 0.8552 0.7238 0.4264
S 0.9553 0.3389 0.9412
S 0.9859 0.0447 0.3836


No. 5
Simulated X-ray powder pattern
Compound: Sc2PaMn9
Radiation: a wavelength of 1.5418 Å
Structure: a crystal structure in Alexandria, relaxed with GGA-PBE

The 8 most intense peaks (15° ≤ 2θ ≤ 90°), in order of falling intensity:
2θ (°)  I/Imax
43.32  100
34.81  33
36.95  24
26.78  24
44.49  19
59.16  16
70.99  15
38.63  13

Crystal structure
abc: 4.8654 4.8654 16.2893
angles: 90.00 90.00 120.00
Element x y z (fractional)
Sc 0.3333 0.6667 0.0356
Sc 0.3333 0.6667 0.4644
Sc 0.6667 0.3333 0.5356
Sc 0.6667 0.3333 0.9644
Pa 0.3333 0.6667 0.2500
Pa 0.6667 0.3333 0.7500
Mn 0.0000 0.0000 0.0000
Mn 0.0000 0.0000 0.2500
Mn 0.0000 0.0000 0.5000
Mn 0.0000 0.0000 0.7500
Mn 0.1698 0.3396 0.6224
Mn 0.1698 0.3396 0.8776
Mn 0.1698 0.8302 0.6224
Mn 0.1698 0.8302 0.8776
Mn 0.3333 0.6667 0.7500
Mn 0.3396 0.1698 0.1224
Mn 0.3396 0.1698 0.3776
Mn 0.6604 0.8302 0.6224
Mn 0.6604 0.8302 0.8776
Mn 0.6667 0.3333 0.2500
Mn 0.8302 0.1698 0.1224
Mn 0.8302 0.1698 0.3776
Mn 0.8302 0.6604 0.1224
Mn 0.8302 0.6604 0.3776


No. 6
Simulated X-ray powder pattern
Compound: Pa4MnSe3
Radiation: a wavelength of 1.5418 Å
Structure: a crystal structure in Alexandria, relaxed with GGA-PBE

The 8 most intense peaks (15° ≤ 2θ ≤ 90°), in order of falling intensity:
2θ (°)  I/Imax
30.98  100
31.81  39
26.96  32
44.04  29
45.94  29
44.32  18
44.44  18
55.58  17

Crystal structure
abc: 7.1438 8.1753 6.7699
angles: 90.00 108.18 90.00
Element x y z (fractional)
Pa 0.2126 0.1166 0.0226
Pa 0.2126 0.8834 0.5226
Pa 0.2376 0.3627 0.4848
Pa 0.2376 0.6373 0.9848
Pa 0.7624 0.3627 0.0152
Pa 0.7624 0.6373 0.5152
Pa 0.7874 0.1166 0.4774
Pa 0.7874 0.8834 0.9774
Mn 0.0000 0.1206 0.2500
Mn 0.0000 0.8794 0.7500
Se 0.0000 0.3748 0.7500
Se 0.0000 0.6252 0.2500
Se 0.5000 0.1263 0.7500
Se 0.5000 0.3800 0.2500
Se 0.5000 0.6200 0.7500
Se 0.5000 0.8737 0.2500